Diffraction record for Cd2Ag2Cl7. The powder X-ray diffraction pattern is simulated, not measured: it uses a DFT-relaxed cell (PBE, Alexandria) and Cu Kα (weighted mean of Kα1 and Kα2).
Kinematic intensities with the Lorentz-polarization factor, no thermal factor.

Principal peaks in the range 10 to 90 degrees two-theta, in order of rising 2θ:
- (2 0 -1), 4.511 Å, intensity 60.4
- (0 2 1), 4.158 Å, intensity 100.0
- (1 1 1), 4.057 Å, intensity 53.7
- (2 2 -2), 2.815 Å, intensity 30.0
- (1 3 2), 2.155 Å, intensity 31.9
- (1 5 1), 1.950 Å, intensity 31.9

Structure:
```
data_Cd2Ag2Cl7
_symmetry_space_group_name_H-M 'C 1 m 1'
_symmetry_Int_Tables_number 8
_cell_length_a 9.3914
_cell_length_b 10.9036
_cell_length_c 7.0259
_cell_angle_alpha 90.00
_cell_angle_beta 113.80
_cell_angle_gamma 90.00
loop_
_symmetry_equiv_pos_as_xyz
'x,y,z'
'x,-y,z'
'x+1/2,y+1/2,z'
'x+1/2,-y+1/2,z'
loop_
_atom_site_label
_atom_site_type_symbol
_atom_site_fract_x
_atom_site_fract_y
_atom_site_fract_z
_atom_site_occupancy
Cd1 Cd 0.0000 0.0000 0.0000 1
Cd2 Cd 0.0867 0.5000 0.1963 1
Ag1 Ag 0.2049 0.1861 0.6497 1
Cl1 Cl 0.0359 0.3079 0.3399 1
Cl2 Cl 0.1850 0.0000 0.3668 1
Cl3 Cl 0.2135 0.5000 0.9505 1
Cl4 Cl 0.2965 0.0000 0.8903 1
Cl5 Cl 0.4666 0.3110 0.7701 1
```



Diffraction record for RbCd2Sn3. The powder X-ray diffraction pattern is simulated, not measured: it uses a DFT-relaxed cell (PBE, Alexandria) and Cu Kα (weighted mean of Kα1 and Kα2).
Kinematic intensities with the Lorentz-polarization factor, no thermal factor.

Principal peaks in the range 10 to 90 degrees two-theta, in order of rising 2θ:
- (1 0 7), 3.282 Å, intensity 31.1
- (1 1 4), 3.162 Å, intensity 100.0
- (2 0 0), 2.450 Å, intensity 93.9
- (1 1 10), 2.308 Å, intensity 84.8
- (2 2 0), 1.733 Å, intensity 32.8
- (3 1 10), 1.386 Å, intensity 34.0

Structure:
```
data_RbCd2Sn3
_symmetry_space_group_name_H-M 'I 4/m m m'
_symmetry_Int_Tables_number 139
_symmetry_space_group_name_Hall '-I 4 2'
_cell_length_a 4.9007
_cell_length_b 4.9007
_cell_length_c 30.9405
_cell_angle_alpha 90.00
_cell_angle_beta 90.00
_cell_angle_gamma 90.00
loop_
_atom_site_label
_atom_site_type_symbol
_atom_site_fract_x
_atom_site_fract_y
_atom_site_fract_z
_atom_site_occupancy
Rb1 Rb 0.0000 0.0000 0.1491 1
Cd1 Cd 0.0000 0.0000 0.3965 1
Cd2 Cd 0.0000 0.5000 0.2500 1
Sn1 Sn 0.0000 0.0000 0.3039 1
Sn2 Sn 0.0000 0.5000 0.0470 1
```



Diffraction record for La4YSe6. The powder X-ray diffraction pattern is simulated, not measured: it uses a DFT-relaxed cell (PBE, Alexandria) and Cu Kα (weighted mean of Kα1 and Kα2).
Kinematic intensities with the Lorentz-polarization factor, no thermal factor.

Principal peaks in the range 10 to 90 degrees two-theta, in order of rising 2θ:
- (3 0 0), 3.468 Å, intensity 56.6
- (0 2 4), 2.969 Å, intensity 48.2
- (1 3 1), 2.830 Å, intensity 86.2
- (2 1 4), 2.662 Å, intensity 72.6
- (2 2 3), 2.549 Å, intensity 100.0
- (3 2 4), 1.992 Å, intensity 38.9

Structure:
```
data_La4YSe6
_symmetry_space_group_name_H-M 'R -3 c'
_symmetry_Int_Tables_number 167
_symmetry_space_group_name_Hall '-R 3 2"c'
_cell_length_a 12.0145
_cell_length_b 12.0145
_cell_length_c 14.4631
_cell_angle_alpha 90.00
_cell_angle_beta 90.00
_cell_angle_gamma 120.00
loop_
_atom_site_label
_atom_site_type_symbol
_atom_site_fract_x
_atom_site_fract_y
_atom_site_fract_z
_atom_site_occupancy
La1 La 0.0000 0.0000 0.2500 1
La2 La 0.0000 0.3825 0.2500 1
Y1 Y 0.0000 0.0000 0.0000 1
Se1 Se 0.0298 0.2033 0.3872 1
```



Diffraction record for Sm7DyEr3. The powder X-ray diffraction pattern is simulated, not measured: it uses a DFT-relaxed cell (PBE, Alexandria) and Cu Kα (weighted mean of Kα1 and Kα2).
Kinematic intensities with the Lorentz-polarization factor, no thermal factor.

Principal peaks in the range 10 to 90 degrees two-theta, in order of rising 2θ:
- (1 3 0), 3.563 Å, intensity 16.3
- (2 0 -2), 2.922 Å, intensity 38.3
- (0 4 0), 2.817 Å, intensity 31.0
- (2 2 1), 2.756 Å, intensity 100.0
- (2 4 -2), 2.028 Å, intensity 24.2
- (0 2 3), 1.653 Å, intensity 21.8

Structure:
```
data_Sm7DyEr3
_symmetry_space_group_name_H-M 'C 1 2/m 1'
_symmetry_Int_Tables_number 12
_cell_length_a 12.7006
_cell_length_b 11.2579
_cell_length_c 5.8435
_cell_angle_alpha 90.00
_cell_angle_beta 117.33
_cell_angle_gamma 90.00
loop_
_symmetry_equiv_pos_as_xyz
'x,y,z'
'-x,-y,-z'
'-x,y,-z'
'x,-y,z'
'x+1/2,y+1/2,z'
'-x+1/2,-y+1/2,-z'
'-x+1/2,y+1/2,-z'
'x+1/2,-y+1/2,z'
loop_
_atom_site_label
_atom_site_type_symbol
_atom_site_fract_x
_atom_site_fract_y
_atom_site_fract_z
_atom_site_occupancy
Sm1 Sm 0.0000 0.0000 0.0000 1
Sm2 Sm 0.1934 0.2907 0.6932 1
Sm3 Sm 0.2089 0.5000 0.2074 1
Dy1 Dy 0.0000 0.0000 0.5000 1
Er1 Er 0.0000 0.2959 0.0000 1
Er2 Er 0.0000 0.5000 0.5000 1
```



Diffraction record for Ac3In6Cu5. The powder X-ray diffraction pattern is simulated, not measured: it uses a DFT-relaxed cell (PBE, Alexandria) and Cu Kα (weighted mean of Kα1 and Kα2).
Kinematic intensities with the Lorentz-polarization factor, no thermal factor.

Principal peaks in the range 10 to 90 degrees two-theta, in order of rising 2θ:
- (0 3 1), 4.152 Å, intensity 26.5
- (1 0 3), 2.884 Å, intensity 79.0
- (1 3 2), 2.757 Å, intensity 100.0
- (2 0 0), 2.235 Å, intensity 31.3
- (2 3 3), 1.765 Å, intensity 26.6
- (1 3 6), 1.621 Å, intensity 18.3

Structure:
```
data_Ac3In6Cu5
_symmetry_space_group_name_H-M 'P m m n'
_symmetry_Int_Tables_number 59
_cell_length_a 4.4703
_cell_length_b 13.3606
_cell_length_c 11.3398
_cell_angle_alpha 90.00
_cell_angle_beta 90.00
_cell_angle_gamma 90.00
loop_
_symmetry_equiv_pos_as_xyz
'x,y,z'
'-x,-y,-z'
'-x+1/2,-y+1/2,z'
'x+1/2,y+1/2,-z'
'x+1/2,-y,-z'
'-x+1/2,y,z'
'-x,y+1/2,-z'
'x,-y+1/2,z'
loop_
_atom_site_label
_atom_site_type_symbol
_atom_site_fract_x
_atom_site_fract_y
_atom_site_fract_z
_atom_site_occupancy
Ac1 Ac 0.2500 0.0991 0.2398 1
Ac2 Ac 0.2500 0.7500 0.2605 1
In1 In 0.2500 0.0513 0.5982 1
In2 In 0.2500 0.2500 0.4869 1
In3 In 0.2500 0.2500 0.9782 1
In4 In 0.2500 0.5804 0.0106 1
Cu1 Cu 0.2500 0.0777 0.8435 1
Cu2 Cu 0.2500 0.6422 0.5277 1
Cu3 Cu 0.2500 0.7500 0.8799 1
```



Diffraction record for Nd2ZrTiIr2. The powder X-ray diffraction pattern is simulated, not measured: it uses a DFT-relaxed cell (PBE, Alexandria) and Cu Kα (weighted mean of Kα1 and Kα2).
Kinematic intensities with the Lorentz-polarization factor, no thermal factor.

Principal peaks in the range 10 to 90 degrees two-theta, in order of rising 2θ:
- (2 0 0), 3.237 Å, intensity 38.1
- (0 0 2), 3.222 Å, intensity 41.5
- (1 4 1), 2.707 Å, intensity 100.0
- (0 4 2), 2.326 Å, intensity 27.9
- (2 0 2), 2.284 Å, intensity 72.4
- (1 4 3), 1.743 Å, intensity 27.3

Structure:
```
data_Nd2ZrTiIr2
_symmetry_space_group_name_H-M 'I b a m'
_symmetry_Int_Tables_number 72
_symmetry_space_group_name_Hall '-I 2 2c'
_cell_length_a 6.4748
_cell_length_b 13.4448
_cell_length_c 6.4430
_cell_angle_alpha 90.00
_cell_angle_beta 90.00
_cell_angle_gamma 90.00
loop_
_atom_site_label
_atom_site_type_symbol
_atom_site_fract_x
_atom_site_fract_y
_atom_site_fract_z
_atom_site_occupancy
Nd1 Nd 0.2233 0.1829 0.0000 1
Zr1 Zr 0.0000 0.5000 0.2500 1
Ti1 Ti 0.0000 0.0000 0.2500 1
Ir1 Ir 0.2331 0.0989 0.5000 1
```



Diffraction record for K5LiGe2O7. The powder X-ray diffraction pattern is simulated, not measured: it uses a DFT-relaxed cell (PBE, Alexandria) and Cu Kα (weighted mean of Kα1 and Kα2).
Kinematic intensities with the Lorentz-polarization factor, no thermal factor.

Principal peaks in the range 10 to 90 degrees two-theta, in order of rising 2θ:
- (0 2 3), 3.112 Å, intensity 31.1
- (2 0 0), 2.980 Å, intensity 47.4
- (1 3 -3), 2.921 Å, intensity 33.9
- (1 5 0), 2.834 Å, intensity 100.0
- (2 2 -3), 2.591 Å, intensity 42.9
- (1 3 3), 2.331 Å, intensity 40.8

Structure:
```
data_K5LiGe2O7
_symmetry_space_group_name_H-M 'P 1 21/c 1'
_symmetry_Int_Tables_number 14
_cell_length_a 6.3292
_cell_length_b 16.1098
_cell_length_c 10.7498
_cell_angle_alpha 90.00
_cell_angle_beta 109.66
_cell_angle_gamma 90.00
loop_
_symmetry_equiv_pos_as_xyz
'x,y,z'
'-x,-y,-z'
'-x,y+1/2,-z+1/2'
'x,-y+1/2,z+1/2'
loop_
_atom_site_label
_atom_site_type_symbol
_atom_site_fract_x
_atom_site_fract_y
_atom_site_fract_z
_atom_site_occupancy
K1 K 0.2012 0.1643 0.4136 1
K2 K 0.2374 0.5573 0.4203 1
K3 K 0.2520 0.5677 0.0824 1
K4 K 0.2713 0.1319 0.7654 1
K5 K 0.2821 0.1535 0.1079 1
Li1 Li 0.2034 0.7199 0.6043 1
Ge1 Ge 0.2353 0.5538 0.7456 1
Ge2 Ge 0.2685 0.7345 0.8876 1
O1 O 0.0226 0.7183 0.9288 1
O2 O 0.0501 0.6110 0.6116 1
O3 O 0.0901 0.0087 0.3254 1
O4 O 0.2323 0.7028 0.2479 1
O5 O 0.3981 0.6335 0.8691 1
O6 O 0.4383 0.0003 0.1965 1
O7 O 0.4660 0.7192 0.5300 1
```